Structure and theoretical XRD peak list of SmTl9Te6 (a GGA-PBE-relaxed structure; Cu Ka).
Lines closer than 0.1° are merged.

Structural model:
a b c (Å): 9.282 9.282 9.282
angles (deg): 122.09 122.09 86.42
Sites, in units of the cell vectors:
Sm1 0.000 0.000 0.000
Tl1 0.007 0.514 0.205
Tl2 0.198 0.993 0.508
Tl3 0.309 0.802 0.795
Tl4 0.486 0.691 0.492
Tl5 0.500 0.500 0.000
Tl6 0.514 0.309 0.508
Tl7 0.691 0.198 0.205
Tl8 0.802 0.007 0.492
Tl9 0.993 0.486 0.795
Te1 0.150 0.325 0.475
Te2 0.234 0.234 0.000
Te3 0.325 0.850 0.176
Te4 0.675 0.150 0.824
Te5 0.766 0.766 0.000
Te6 0.850 0.675 0.525

The 10 most intense peaks (2θ from 5° to 70°), by angle:
2θ 29.77, I = 100
2θ 29.92, I = 14
2θ 31.48, I = 52
2θ 39.98, I = 10
2θ 45.12, I = 8
2θ 46.26, I = 12
2θ 48.65, I = 8
2θ 51.75, I = 14
2θ 59.02, I = 21
2θ 66.39, I = 9

---

Structure and theoretical XRD peak list of Sm3Tl2Te6 (a GGA-PBE-relaxed structure; Cu Ka).
Lines closer than 0.1° are merged.

Structural model:
a b c (Å): 7.748 7.748 8.512
angles (deg): 98.71 98.71 119.95
Sites, in units of the cell vectors:
Sm1 0.000 0.000 0.000
Sm2 0.333 0.667 0.000
Sm3 0.667 0.333 0.000
Tl1 0.167 0.833 0.500
Tl2 0.833 0.167 0.500
Te1 0.073 0.407 0.221
Te2 0.259 0.259 0.780
Te3 0.407 0.073 0.221
Te4 0.593 0.927 0.779
Te5 0.741 0.741 0.220
Te6 0.927 0.593 0.779

The 10 most intense peaks (2θ from 5° to 70°), by angle:
2θ 13.68, I = 5
2θ 27.29, I = 100
2θ 37.59, I = 39
2θ 40.31, I = 36
2θ 44.68, I = 7
2θ 49.37, I = 20
2θ 56.29, I = 12
2θ 61.73, I = 16
2θ 65.56, I = 17
2θ 65.97, I = 5

---

Structure and theoretical XRD peak list of SmTl3Te3 (a GGA-PBE-relaxed structure; Cu Ka).
Lines closer than 0.1° are merged.

Structural model:
a b c (Å): 9.539 9.539 9.539
angles (deg): 125.74 119.36 85.74
Sites, in units of the cell vectors:
Sm1 0.460 0.210 0.250
Sm2 0.540 0.790 0.750
Tl1 0.000 0.261 0.261
Tl2 0.000 0.739 0.739
Tl3 0.002 0.752 0.250
Tl4 0.500 0.261 0.761
Tl5 0.500 0.739 0.239
Tl6 0.998 0.248 0.750
Te1 0.244 0.994 0.250
Te2 0.278 0.000 0.778
Te3 0.278 0.500 0.278
Te4 0.722 0.000 0.222
Te5 0.722 0.500 0.722
Te6 0.756 0.006 0.750

The 10 most intense peaks (2θ from 5° to 70°), by angle:
2θ 22.42, I = 19
2θ 25.48, I = 56
2θ 27.63, I = 100
2θ 37.35, I = 21
2θ 37.94, I = 76
2θ 41.52, I = 18
2θ 45.76, I = 21
2θ 49.35, I = 18
2θ 60.21, I = 15
2θ 63.49, I = 15

---

Structure and theoretical XRD peak list of SmTlTe (a GGA-PBE-relaxed structure; Cu Ka).
Lines closer than 0.1° are merged.

Structural model:
a b c (Å): 8.673 8.673 8.619
angles (deg): 90.00 90.00 120.00
Sites, in units of the cell vectors:
Sm1 0.000 0.000 0.250
Sm2 0.000 0.000 0.750
Sm3 0.333 0.667 0.008
Sm4 0.333 0.667 0.492
Sm5 0.667 0.333 0.508
Sm6 0.667 0.333 0.992
Tl1 0.008 0.575 0.750
Tl2 0.425 0.433 0.750
Tl3 0.433 0.425 0.250
Tl4 0.567 0.992 0.750
Tl5 0.575 0.008 0.250
Tl6 0.992 0.567 0.250
Te1 0.000 0.266 0.000
Te2 0.000 0.266 0.500
Te3 0.266 0.000 0.000
Te4 0.266 0.000 0.500
Te5 0.734 0.734 0.000
Te6 0.734 0.734 0.500

The 10 most intense peaks (2θ from 5° to 70°), by angle:
2θ 23.69, I = 11
2θ 29.22, I = 50
2θ 31.58, I = 100
2θ 35.87, I = 20
2θ 37.95, I = 11
2θ 41.93, I = 15
2θ 43.44, I = 12
2θ 48.53, I = 15
2θ 53.38, I = 12
2θ 57.61, I = 20

---

Structure and theoretical XRD peak list of Sm3TlTe (a GGA-PBE-relaxed structure; Cu Ka).
Lines closer than 0.1° are merged.

Structural model:
a b c (Å): 8.312 4.569 16.627
angles (deg): 90.00 90.00 90.00
Sites, in units of the cell vectors:
Sm1 0.013 0.250 0.110
Sm2 0.131 0.250 0.556
Sm3 0.187 0.750 0.264
Sm4 0.313 0.250 0.764
Sm5 0.369 0.750 0.056
Sm6 0.487 0.750 0.610
Sm7 0.513 0.250 0.390
Sm8 0.631 0.250 0.944
Sm9 0.687 0.750 0.236
Sm10 0.813 0.250 0.736
Sm11 0.869 0.750 0.444
Sm12 0.987 0.750 0.890
Tl1 0.083 0.750 0.693
Tl2 0.417 0.250 0.193
Tl3 0.583 0.750 0.807
Tl4 0.917 0.250 0.307
Te1 0.220 0.250 0.949
Te2 0.280 0.750 0.449
Te3 0.720 0.250 0.551
Te4 0.780 0.750 0.051

The 10 most intense peaks (2θ from 5° to 70°), by angle:
2θ 28.92, I = 25
2θ 29.55, I = 53
2θ 30.41, I = 15
2θ 31.01, I = 100
2θ 33.32, I = 45
2θ 34.11, I = 15
2θ 39.44, I = 39
2θ 41.45, I = 16
2θ 43.92, I = 19
2θ 50.64, I = 16

---

Structure and theoretical XRD peak list of Sm4TlTe2 (a GGA-PBE-relaxed structure; Cu Ka).
Lines closer than 0.1° are merged.

Structural model:
a b c (Å): 8.447 8.447 8.447
angles (deg): 108.93 108.93 110.57
Sites, in units of the cell vectors:
Sm1 0.185 0.245 0.560
Sm2 0.185 0.624 0.940
Sm3 0.245 0.185 0.060
Sm4 0.376 0.815 0.560
Sm5 0.624 0.185 0.440
Sm6 0.755 0.815 0.940
Sm7 0.815 0.376 0.060
Sm8 0.815 0.755 0.440
Tl1 0.125 0.875 0.250
Tl2 0.875 0.125 0.750
Te1 0.000 0.500 0.500
Te2 0.500 0.000 0.000
Te3 0.500 0.500 0.000
Te4 0.500 0.500 0.500

The 10 most intense peaks (2θ from 5° to 70°), by angle:
2θ 18.07, I = 37
2θ 25.66, I = 49
2θ 28.81, I = 45
2θ 29.30, I = 100
2θ 34.22, I = 71
2θ 34.38, I = 39
2θ 36.61, I = 47
2θ 39.33, I = 28
2θ 43.39, I = 36
2θ 54.82, I = 25

---

What did the third record say?
Structure and theoretical XRD peak list of SmTl3Te3 (a GGA-PBE-relaxed structure; Cu Ka).
Lines closer than 0.1° are merged.

Structural model:
a b c (Å): 9.539 9.539 9.539
angles (deg): 125.74 119.36 85.74
Sites, in units of the cell vectors:
Sm1 0.460 0.210 0.250
Sm2 0.540 0.790 0.750
Tl1 0.000 0.261 0.261
Tl2 0.000 0.739 0.739
Tl3 0.002 0.752 0.250
Tl4 0.500 0.261 0.761
Tl5 0.500 0.739 0.239
Tl6 0.998 0.248 0.750
Te1 0.244 0.994 0.250
Te2 0.278 0.000 0.778
Te3 0.278 0.500 0.278
Te4 0.722 0.000 0.222
Te5 0.722 0.500 0.722
Te6 0.756 0.006 0.750

The 10 most intense peaks (2θ from 5° to 70°), by angle:
2θ 22.42, I = 19
2θ 25.48, I = 56
2θ 27.63, I = 100
2θ 37.35, I = 21
2θ 37.94, I = 76
2θ 41.52, I = 18
2θ 45.76, I = 21
2θ 49.35, I = 18
2θ 60.21, I = 15
2θ 63.49, I = 15